Entry 1:
For SrLaPt2, a cell relaxed with PBE gives the calculated powder X-ray diffraction pattern in this record (Cu Kα (λ = 1.5418 Å)).
Lines closer than 0.1° are merged.

Peak list (12 most intense, 15° ≤ 2θ ≤ 90°, by angle)
hkl 1 0 0, 24.05 deg, 3.701 Å, intensity 7; hkl 1 0 2, 34.27 deg, 2.616 Å, intensity 49; hkl 1 1 0, 34.49 deg, 2.600 Å, intensity 100; hkl 2 0 0, 49.17 deg, 1.853 Å, intensity 10; hkl 0 0 4, 49.34 deg, 1.847 Å, intensity 7; hkl 0 2 0, 49.90 deg, 1.828 Å, intensity 9; hkl 2 1 2, 61.46 deg, 1.509 Å, intensity 18; hkl 1 1 4, 61.57 deg, 1.506 Å, intensity 14; hkl 1 2 2, 61.93 deg, 1.498 Å, intensity 18; hkl 2 2 0, 72.67 deg, 1.301 Å, intensity 6; hkl 3 1 0, 82.41 deg, 1.170 Å, intensity 4; hkl 1 3 0, 83.54 deg, 1.157 Å, intensity 8

Atomic structure:
```
data_SrLaPt2
_space_group_name_H-M_alt 'P 1 2/m 1'
_space_group_IT_number 10
_cell_length_a 3.7058
_cell_length_b 3.6553
_cell_length_c 7.3885
_cell_angle_alpha 90.00
_cell_angle_beta 90.07
_cell_angle_gamma 90.00
loop_
_space_group_symop_operation_xyz
'x,y,z'
'-x,-y,-z'
'-x,y,-z'
'x,-y,z'
loop_
_atom_site_label
_atom_site_type_symbol
_atom_site_fract_x
_atom_site_fract_y
_atom_site_fract_z
_atom_site_occupancy
Sr1 Sr 0.0000 0.0000 0.0000 1
La1 La 0.0000 0.0000 0.5000 1
Pt1 Pt 0.4992 0.5000 0.2782 1
```

=====

Entry 2:
For La2TaPt, a cell relaxed with PBE gives the calculated powder X-ray diffraction pattern in this record (Cu Kα (λ = 1.5418 Å)).
Lines closer than 0.1° are merged.

Peak list (12 most intense, 15° ≤ 2θ ≤ 90°, by angle)
hkl 2 0 -1, 18.77 deg, 4.728 Å, intensity 12; hkl 2 0 1, 28.90 deg, 3.090 Å, intensity 13; hkl 4 0 0, 30.98 deg, 2.886 Å, intensity 11; hkl 2 0 -2, 34.57 deg, 2.595 Å, intensity 100; hkl 5 1 0, 47.10 deg, 1.930 Å, intensity 14; hkl 0 2 0, 52.11 deg, 1.755 Å, intensity 7; hkl 3 1 2, 59.69 deg, 1.549 Å, intensity 5; hkl 7 1 -2, 59.83 deg, 1.546 Å, intensity 5; hkl 1 1 -3, 61.93 deg, 1.498 Å, intensity 9; hkl 5 1 -3, 62.04 deg, 1.496 Å, intensity 7; hkl 2 2 -2, 64.08 deg, 1.453 Å, intensity 7; hkl 3 3 -1, 87.03 deg, 1.120 Å, intensity 6

Atomic structure:
```
data_La2TaPt
_space_group_name_H-M_alt 'C 1 m 1'
_space_group_IT_number 8
_cell_length_a 12.6419
_cell_length_b 3.5100
_cell_length_c 5.1826
_cell_angle_alpha 90.00
_cell_angle_beta 114.04
_cell_angle_gamma 90.00
loop_
_space_group_symop_operation_xyz
'x,y,z'
'x,-y,z'
'x+1/2,y+1/2,z'
'x+1/2,-y+1/2,z'
loop_
_atom_site_label
_atom_site_type_symbol
_atom_site_fract_x
_atom_site_fract_y
_atom_site_fract_z
_atom_site_occupancy
La1 La 0.0000 0.0000 0.0000 1
La2 La 0.2022 0.0000 0.7040 1
Ta1 Ta 0.4232 0.0000 0.4235 1
Pt1 Pt 0.2619 0.5000 0.2643 1
```

=====

Entry 3:
For La2TaPt, a cell relaxed with PBE gives the calculated powder X-ray diffraction pattern in this record (Cu Kα (λ = 1.5418 Å)).
Lines closer than 0.1° are merged.

Peak list (12 most intense, 15° ≤ 2θ ≤ 90°, by angle)
hkl 0 1 2, 33.44 deg, 2.679 Å, intensity 100; hkl 1 0 2, 33.53 deg, 2.673 Å, intensity 33; hkl 1 1 0, 36.42 deg, 2.467 Å, intensity 55; hkl 0 0 4, 43.32 deg, 2.089 Å, intensity 15; hkl 0 2 0, 52.36 deg, 1.747 Å, intensity 10; hkl 2 0 0, 52.56 deg, 1.741 Å, intensity 10; hkl 1 1 4, 57.84 deg, 1.594 Å, intensity 26; hkl 1 2 2, 63.60 deg, 1.463 Å, intensity 21; hkl 2 1 2, 63.74 deg, 1.460 Å, intensity 21; hkl 0 2 4, 70.23 deg, 1.340 Å, intensity 7; hkl 1 0 6, 73.18 deg, 1.293 Å, intensity 11; hkl 2 2 0, 77.37 deg, 1.233 Å, intensity 6

Atomic structure:
```
data_La2TaPt
_space_group_name_H-M_alt 'P 1 2/m 1'
_space_group_IT_number 10
_cell_length_a 3.4824
_cell_length_b 3.4948
_cell_length_c 8.3552
_cell_angle_alpha 90.00
_cell_angle_beta 90.10
_cell_angle_gamma 90.00
loop_
_space_group_symop_operation_xyz
'x,y,z'
'-x,-y,-z'
'-x,y,-z'
'x,-y,z'
loop_
_atom_site_label
_atom_site_type_symbol
_atom_site_fract_x
_atom_site_fract_y
_atom_site_fract_z
_atom_site_occupancy
La1 La 0.9998 0.0000 0.2289 1
Ta1 Ta 0.5000 0.5000 0.5000 1
Pt1 Pt 0.5000 0.5000 0.0000 1
```

=====

Entry 4:
For La6TcPt2, a cell relaxed with PBE gives the calculated powder X-ray diffraction pattern in this record (Cu Kα (λ = 1.5418 Å)).
Lines closer than 0.1° are merged.

Peak list (12 most intense, 15° ≤ 2θ ≤ 90°, by angle)
hkl 1 2 0, 27.72 deg, 3.218 Å, intensity 32; hkl 2 1 -2, 28.32 deg, 3.151 Å, intensity 30; hkl 2 1 -1, 28.95 deg, 3.084 Å, intensity 100; hkl 1 0 -4, 29.48 deg, 3.030 Å, intensity 58; hkl 1 1 2, 30.00 deg, 2.979 Å, intensity 26; hkl 1 2 1, 31.17 deg, 2.870 Å, intensity 55; hkl 1 1 -4, 31.78 deg, 2.815 Å, intensity 45; hkl 2 1 0, 32.01 deg, 2.796 Å, intensity 28; hkl 0 2 3, 34.78 deg, 2.580 Å, intensity 37; hkl 1 3 -1, 37.73 deg, 2.384 Å, intensity 34; hkl 3 1 -5, 45.76 deg, 1.983 Å, intensity 26; hkl 2 1 3, 50.30 deg, 1.814 Å, intensity 28

Atomic structure:
```
data_La6TcPt2
_space_group_name_H-M_alt 'P 1 21/c 1'
_space_group_IT_number 14
_cell_length_a 6.9507
_cell_length_b 7.6184
_cell_length_c 12.1529
_cell_angle_alpha 90.00
_cell_angle_beta 120.06
_cell_angle_gamma 90.00
loop_
_space_group_symop_operation_xyz
'x,y,z'
'-x,-y,-z'
'-x,y+1/2,-z+1/2'
'x,-y+1/2,z+1/2'
loop_
_atom_site_label
_atom_site_type_symbol
_atom_site_fract_x
_atom_site_fract_y
_atom_site_fract_z
_atom_site_occupancy
La1 La 0.0884 0.0502 0.2480 1
La2 La 0.2458 0.6835 0.0751 1
La3 La 0.3880 0.1820 0.0648 1
Tc1 Tc 0.0000 0.0000 0.0000 1
Pt1 Pt 0.3276 0.1126 0.7739 1
```

=====

Entry 5:
For La8TcPt2, a cell relaxed with PBE gives the calculated powder X-ray diffraction pattern in this record (Cu Kα (λ = 1.5418 Å)).
Lines closer than 0.1° are merged.

Peak list (12 most intense, 15° ≤ 2θ ≤ 90°, by angle)
hkl 1 1 -2, 27.64 deg, 3.227 Å, intensity 26; hkl 2 0 -2, 29.09 deg, 3.070 Å, intensity 22; hkl 1 3 1, 29.64 deg, 3.014 Å, intensity 100; hkl 3 1 -1, 31.43 deg, 2.846 Å, intensity 76; hkl 0 2 2, 32.01 deg, 2.796 Å, intensity 38; hkl 2 2 -2, 32.36 deg, 2.767 Å, intensity 30; hkl 3 1 -2, 35.68 deg, 2.517 Å, intensity 28; hkl 3 3 -1, 37.32 deg, 2.409 Å, intensity 31; hkl 1 5 -1, 38.15 deg, 2.359 Å, intensity 46; hkl 3 3 0, 39.16 deg, 2.300 Å, intensity 21; hkl 0 6 0, 42.43 deg, 2.130 Å, intensity 23; hkl 3 3 -3, 49.41 deg, 1.845 Å, intensity 22

Atomic structure:
```
data_La8TcPt2
_space_group_name_H-M_alt 'C 1 m 1'
_space_group_IT_number 8
_cell_length_a 8.7968
_cell_length_b 12.7747
_cell_length_c 6.6720
_cell_angle_alpha 90.00
_cell_angle_beta 111.22
_cell_angle_gamma 90.00
loop_
_space_group_symop_operation_xyz
'x,y,z'
'x,-y,z'
'x+1/2,y+1/2,z'
'x+1/2,-y+1/2,z'
loop_
_atom_site_label
_atom_site_type_symbol
_atom_site_fract_x
_atom_site_fract_y
_atom_site_fract_z
_atom_site_occupancy
La1 La 0.0000 0.0000 0.0000 1
La2 La 0.0725 0.3703 0.8415 1
La3 La 0.1402 0.1342 0.5862 1
La4 La 0.2147 0.5000 0.3903 1
La5 La 0.3580 0.1871 0.1924 1
Tc1 Tc 0.3554 0.0000 0.0133 1
Pt1 Pt 0.3542 0.3159 0.7013 1
```

=====

Entry 6:
For La2TePt2, a cell relaxed with PBE gives the calculated powder X-ray diffraction pattern in this record (Cu Kα (λ = 1.5418 Å)).
Lines closer than 0.1° are merged.

Peak list (12 most intense, 15° ≤ 2θ ≤ 90°, by angle)
hkl 1 1 0, 15.61 deg, 5.678 Å, intensity 12; hkl 2 0 1, 31.85 deg, 2.809 Å, intensity 25; hkl 2 1 1, 33.80 deg, 2.652 Å, intensity 100; hkl 3 1 0, 35.35 deg, 2.539 Å, intensity 38; hkl 3 2 0, 40.51 deg, 2.227 Å, intensity 15; hkl 3 1 1, 42.37 deg, 2.133 Å, intensity 9; hkl 0 0 2, 46.16 deg, 1.966 Å, intensity 15; hkl 3 2 1, 46.89 deg, 1.938 Å, intensity 11; hkl 3 1 2, 59.45 deg, 1.555 Å, intensity 17; hkl 5 1 1, 63.66 deg, 1.462 Å, intensity 14; hkl 5 2 1, 67.14 deg, 1.394 Å, intensity 10; hkl 2 1 3, 77.52 deg, 1.231 Å, intensity 9

Atomic structure:
```
data_La2TePt2
_space_group_name_H-M_alt 'P 4/m b m'
_space_group_IT_number 127
_space_group_name_Hall '-P 4 2ab'
_cell_length_a 8.0292
_cell_length_b 8.0292
_cell_length_c 3.9328
_cell_angle_alpha 90.00
_cell_angle_beta 90.00
_cell_angle_gamma 90.00
loop_
_atom_site_label
_atom_site_type_symbol
_atom_site_fract_x
_atom_site_fract_y
_atom_site_fract_z
_atom_site_occupancy
La1 La 0.1769 0.3231 0.0000 1
Te1 Te 0.0000 0.0000 0.5000 1
Pt1 Pt 0.1226 0.6226 0.5000 1
```

=====

Entry 7:
For LaTePt, a cell relaxed with PBE gives the calculated powder X-ray diffraction pattern in this record (Cu Kα (λ = 1.5418 Å)).
Lines closer than 0.1° are merged.

Peak list (12 most intense, 15° ≤ 2θ ≤ 90°, by angle)
hkl 0 1 1, 21.35 deg, 4.162 Å, intensity 38; hkl -1 1 1, 25.61 deg, 3.479 Å, intensity 34; hkl 0 0 2, 26.34 deg, 3.383 Å, intensity 30; hkl 1 -2 0, 31.20 deg, 2.867 Å, intensity 44; hkl 0 2 0, 31.77 deg, 2.816 Å, intensity 33; hkl 1 1 -1, 33.15 deg, 2.703 Å, intensity 40; hkl 1 0 2, 34.77 deg, 2.580 Å, intensity 100; hkl 1 -2 2, 39.90 deg, 2.259 Å, intensity 84; hkl 2 -1 0, 40.64 deg, 2.220 Å, intensity 42; hkl 0 2 2, 43.49 deg, 2.081 Å, intensity 27; hkl -1 1 4, 59.71 deg, 1.549 Å, intensity 25; hkl -2 3 2, 61.03 deg, 1.518 Å, intensity 20

Atomic structure:
```
data_LaTePt
_space_group_name_H-M_alt 'P -1'
_space_group_IT_number 2
_cell_length_a 4.4399
_cell_length_b 6.0704
_cell_length_c 6.7906
_cell_angle_alpha 94.46
_cell_angle_beta 90.01
_cell_angle_gamma 111.38
loop_
_space_group_symop_operation_xyz
'x,y,z'
'-x,-y,-z'
loop_
_atom_site_label
_atom_site_type_symbol
_atom_site_fract_x
_atom_site_fract_y
_atom_site_fract_z
_atom_site_occupancy
La1 La 0.1214 0.2432 0.1898 1
Te1 Te 0.1643 0.3267 0.6880 1
Pt1 Pt 0.4192 0.8416 0.1354 1
```

=====

Entry 8:
For LaThPt, a cell relaxed with PBE gives the calculated powder X-ray diffraction pattern in this record (Cu Kα (λ = 1.5418 Å)).
Lines closer than 0.1° are merged.

Peak list (12 most intense, 15° ≤ 2θ ≤ 90°, by angle)
hkl 1 1 0, 20.11 deg, 4.415 Å, intensity 87; hkl 1 1 -2, 22.25 deg, 3.996 Å, intensity 42; hkl 1 1 1, 27.70 deg, 3.220 Å, intensity 52; hkl 1 2 -1, 28.03 deg, 3.183 Å, intensity 58; hkl 1 1 -3, 30.86 deg, 2.897 Å, intensity 86; hkl 2 0 0, 31.89 deg, 2.806 Å, intensity 56; hkl 0 2 2, 34.28 deg, 2.616 Å, intensity 80; hkl 1 2 1, 35.36 deg, 2.539 Å, intensity 30; hkl 2 2 -2, 35.93 deg, 2.499 Å, intensity 100; hkl 3 1 -1, 44.15 deg, 2.051 Å, intensity 32; hkl 0 3 2, 44.74 deg, 2.026 Å, intensity 37; hkl 1 4 -1, 52.87 deg, 1.732 Å, intensity 40

Atomic structure:
```
data_LaThPt
_space_group_name_H-M_alt 'P 1 21/c 1'
_space_group_IT_number 14
_cell_length_a 7.0713
_cell_length_b 7.1513
_cell_length_c 9.6803
_cell_angle_alpha 90.00
_cell_angle_beta 127.46
_cell_angle_gamma 90.00
loop_
_space_group_symop_operation_xyz
'x,y,z'
'-x,-y,-z'
'-x,y+1/2,-z+1/2'
'x,-y+1/2,z+1/2'
loop_
_atom_site_label
_atom_site_type_symbol
_atom_site_fract_x
_atom_site_fract_y
_atom_site_fract_z
_atom_site_occupancy
La1 La 0.1937 0.0604 0.4244 1
Th1 Th 0.3156 0.5575 0.5755 1
Pt1 Pt 0.3139 0.7097 0.3063 1
```